# 1
For Te5Pt, a crystal structure in Alexandria, relaxed with GGA-PBE gives the calculated powder XRD pattern in this record (Cu Kα (weighted mean of Kα1 and Kα2)).
Intensities are scaled so that the largest is 100.

```
Te5Pt
1.0
5.229 0.000 0.000
0.000 4.160 0.000
-0.028 0.000 8.306
Te Pt
5 1
direct
0.000 0.000 0.000
0.259 0.500 0.784
0.292 0.000 0.384
0.708 0.000 0.616
0.741 0.500 0.216
0.000 0.500 0.500
```

Peak list (12 most intense, 10 to 80 degrees two-theta, by angle)
10.7 deg, I = 34
17.0 deg, I = 18
27.5 deg, I = 47
29.4 deg, I = 100
36.8 deg, I = 11
39.1 deg, I = 29
40.7 deg, I = 15
42.3 deg, I = 37
43.5 deg, I = 21
49.0 deg, I = 10
52.2 deg, I = 17
61.1 deg, I = 15

=====

# 2
For Te7Pt6, a crystal structure in Alexandria, relaxed with GGA-PBE gives the calculated powder XRD pattern in this record (Cu Kα (weighted mean of Kα1 and Kα2)).
Intensities are scaled so that the largest is 100.

```
Te7Pt6
1.0
3.283 1.895 8.802
-3.283 1.895 8.802
0.000 -3.791 8.802
Te Pt
7 6
direct
0.000 0.000 0.000
0.081 0.081 0.566
0.081 0.566 0.081
0.434 0.919 0.919
0.566 0.081 0.081
0.919 0.434 0.919
0.919 0.919 0.434
0.166 0.166 0.166
0.318 0.318 0.318
0.416 0.416 0.416
0.584 0.584 0.584
0.682 0.682 0.682
0.834 0.834 0.834
```

Peak list (12 most intense, 10 to 80 degrees two-theta, by angle)
17.0 deg, I = 25
27.2 deg, I = 100
31.7 deg, I = 44
34.1 deg, I = 49
35.9 deg, I = 34
39.7 deg, I = 72
41.0 deg, I = 30
41.9 deg, I = 42
48.0 deg, I = 22
49.9 deg, I = 25
56.0 deg, I = 52
71.7 deg, I = 34

=====

# 3
For Te7Pt, a crystal structure in Alexandria, relaxed with GGA-PBE gives the calculated powder XRD pattern in this record (Cu Kα (weighted mean of Kα1 and Kα2)).
Intensities are scaled so that the largest is 100.

```
Te7Pt
1.0
0.000 4.723 4.723
4.723 0.000 4.723
4.723 4.723 0.000
Te Pt
7 1
direct
0.000 0.000 0.000
0.000 0.000 0.500
0.000 0.500 0.000
0.000 0.500 0.500
0.500 0.000 0.000
0.500 0.000 0.500
0.500 0.500 0.000
0.500 0.500 0.500
```

Peak list (12 most intense, 10 to 80 degrees two-theta, by angle)
16.3 deg, I = 2
18.8 deg, I = 1
26.7 deg, I = 1
31.4 deg, I = 1
32.8 deg, I = 100
38.1 deg, I = 50
41.7 deg, I = 1
42.8 deg, I = 1
55.0 deg, I = 34
57.7 deg, I = 1
65.6 deg, I = 40
68.9 deg, I = 12

=====

# 4
For UTePt4, a crystal structure in Alexandria, relaxed with GGA-PBE gives the calculated powder XRD pattern in this record (Cu Kα (weighted mean of Kα1 and Kα2)).
Intensities are scaled so that the largest is 100.

```
UTePt4
1.0
0.000 3.835 3.835
3.835 0.000 3.835
3.835 3.835 0.000
U Te Pt
1 1 4
direct
0.000 0.000 0.000
0.250 0.250 0.250
0.123 0.626 0.626
0.626 0.123 0.626
0.626 0.626 0.123
0.626 0.626 0.626
```

Peak list (12 most intense, 10 to 80 degrees two-theta, by angle)
20.1 deg, I = 10
23.2 deg, I = 2
33.0 deg, I = 24
38.9 deg, I = 100
40.8 deg, I = 44
47.4 deg, I = 6
52.0 deg, I = 2
59.0 deg, I = 9
63.0 deg, I = 33
69.3 deg, I = 29
73.0 deg, I = 2
78.9 deg, I = 4

=====

# 5
For TePtW2, a crystal structure in Alexandria, relaxed with GGA-PBE gives the calculated powder XRD pattern in this record (Cu Kα (weighted mean of Kα1 and Kα2)).
Intensities are scaled so that the largest is 100.

```
TePtW2
1.0
1.604 0.926 8.469
-1.604 0.926 8.469
0.000 -1.852 8.469
Te Pt W
1 1 2
direct
0.000 0.000 0.000
0.761 0.761 0.761
0.244 0.244 0.244
0.506 0.506 0.506
```

Peak list (12 most intense, 10 to 80 degrees two-theta, by angle)
10.4 deg, I = 17
35.3 deg, I = 100
40.9 deg, I = 6
42.7 deg, I = 15
43.3 deg, I = 52
51.4 deg, I = 6
57.4 deg, I = 26
68.0 deg, I = 9
69.2 deg, I = 14
74.2 deg, I = 18
74.6 deg, I = 11
79.6 deg, I = 3

=====

# 6
For Tm3ThPt2, a crystal structure in Alexandria, relaxed with GGA-PBE gives the calculated powder XRD pattern in this record (Cu Kα (weighted mean of Kα1 and Kα2)).
Intensities are scaled so that the largest is 100.

```
Tm3ThPt2
1.0
4.752 0.000 0.000
0.000 8.893 0.000
0.000 0.000 7.077
Tm Th Pt
6 2 4
direct
0.000 0.079 0.000
0.000 0.319 0.371
0.000 0.681 0.871
0.000 0.921 0.500
0.500 0.160 0.656
0.500 0.840 0.156
0.500 0.418 0.017
0.500 0.582 0.517
0.000 0.342 0.770
0.000 0.658 0.270
0.500 0.155 0.251
0.500 0.845 0.751
```

Peak list (12 most intense, 10 to 80 degrees two-theta, by angle)
30.3 deg, I = 86
31.5 deg, I = 29
32.3 deg, I = 24
32.8 deg, I = 25
33.1 deg, I = 100
35.7 deg, I = 63
37.9 deg, I = 65
43.4 deg, I = 19
44.1 deg, I = 23
44.2 deg, I = 24
59.0 deg, I = 16
60.4 deg, I = 17

=====

# 7
For Tm2ThPt, a crystal structure in Alexandria, relaxed with GGA-PBE gives the calculated powder XRD pattern in this record (Cu Kα (weighted mean of Kα1 and Kα2)).
Intensities are scaled so that the largest is 100.

```
Tm2ThPt
1.0
3.506 0.000 0.000
0.000 3.506 0.000
0.000 0.000 8.380
Tm Th Pt
2 1 1
direct
0.000 0.000 0.196
0.000 0.000 0.804
0.500 0.500 0.500
0.500 0.500 0.000
```

Peak list (12 most intense, 10 to 80 degrees two-theta, by angle)
27.6 deg, I = 7
33.3 deg, I = 100
36.2 deg, I = 49
41.3 deg, I = 8
43.2 deg, I = 6
49.1 deg, I = 8
50.8 deg, I = 8
52.2 deg, I = 18
57.6 deg, I = 11
63.3 deg, I = 32
70.0 deg, I = 6
78.6 deg, I = 6

=====

# 8
For TmThPt2, a crystal structure in Alexandria, relaxed with GGA-PBE gives the calculated powder XRD pattern in this record (Cu Kα (weighted mean of Kα1 and Kα2)).
Intensities are scaled so that the largest is 100.

```
TmThPt2
1.0
5.965 0.000 0.000
0.000 4.693 0.000
-2.860 0.000 6.565
Tm Th Pt
2 2 4
direct
0.110 0.250 0.399
0.890 0.750 0.601
0.337 0.750 0.128
0.663 0.250 0.872
0.145 0.250 0.826
0.398 0.750 0.582
0.602 0.250 0.418
0.855 0.750 0.174
```

Peak list (12 most intense, 10 to 80 degrees two-theta, by angle)
30.0 deg, I = 8
33.3 deg, I = 100
38.1 deg, I = 56
38.4 deg, I = 30
41.3 deg, I = 9
45.8 deg, I = 14
51.3 deg, I = 13
51.6 deg, I = 16
56.1 deg, I = 9
65.9 deg, I = 12
66.2 deg, I = 10
69.2 deg, I = 10

=====

# 9
For TmTh2Pt3, a crystal structure in Alexandria, relaxed with GGA-PBE gives the calculated powder XRD pattern in this record (Cu Kα (weighted mean of Kα1 and Kα2)).
Intensities are scaled so that the largest is 100.

```
TmTh2Pt3
1.0
0.000 5.858 12.555
4.102 0.000 12.555
4.102 5.858 0.000
Tm Th Pt
4 8 12
direct
0.042 0.042 0.208
0.208 0.208 0.042
0.792 0.792 0.958
0.958 0.958 0.792
0.127 0.127 0.623
0.292 0.292 0.458
0.377 0.377 0.873
0.458 0.458 0.292
0.542 0.542 0.708
0.623 0.623 0.127
0.708 0.708 0.542
0.873 0.873 0.377
0.043 0.539 0.203
0.120 0.630 0.630
0.203 0.715 0.043
0.285 0.797 0.461
0.370 0.880 0.880
0.461 0.957 0.285
0.539 0.043 0.715
0.630 0.120 0.120
0.715 0.203 0.539
0.797 0.285 0.957
0.880 0.370 0.370
0.957 0.461 0.797
```

Peak list (12 most intense, 10 to 80 degrees two-theta, by angle)
30.5 deg, I = 100
43.2 deg, I = 13
43.7 deg, I = 51
44.2 deg, I = 12
53.8 deg, I = 14
54.6 deg, I = 13
63.5 deg, I = 13
71.4 deg, I = 6
72.1 deg, I = 24
72.8 deg, I = 6
79.6 deg, I = 9
80.0 deg, I = 4

=====

# 10
For Th2UPt9, a crystal structure in Alexandria, relaxed with GGA-PBE gives the calculated powder XRD pattern in this record (Cu Kα (weighted mean of Kα1 and Kα2)).
Intensities are scaled so that the largest is 100.

```
Th2UPt9
1.0
4.212 0.000 0.000
0.000 4.212 0.000
0.000 0.000 12.640
Th U Pt
2 1 9
direct
0.000 0.000 0.169
0.000 0.000 0.831
0.000 0.000 0.500
0.000 0.500 0.000
0.000 0.500 0.336
0.000 0.500 0.664
0.500 0.000 0.000
0.500 0.000 0.336
0.500 0.000 0.664
0.500 0.500 0.167
0.500 0.500 0.500
0.500 0.500 0.833
```

Peak list (5 most intense, 10 to 80 degrees two-theta, by angle)
37.0 deg, I = 100
42.9 deg, I = 50
62.3 deg, I = 34
74.7 deg, I = 40
78.7 deg, I = 12

=====

# 11
For YTh2Pt3, a crystal structure in Alexandria, relaxed with GGA-PBE gives the calculated powder XRD pattern in this record (Cu Kα (weighted mean of Kα1 and Kα2)).
Intensities are scaled so that the largest is 100.

```
YTh2Pt3
1.0
0.000 5.883 12.573
4.137 0.000 12.573
4.137 5.883 0.000
Y Th Pt
4 8 12
direct
0.042 0.042 0.208
0.208 0.208 0.042
0.792 0.792 0.958
0.958 0.958 0.792
0.126 0.126 0.624
0.292 0.292 0.458
0.376 0.376 0.874
0.458 0.458 0.292
0.542 0.542 0.708
0.624 0.624 0.126
0.708 0.708 0.542
0.874 0.874 0.376
0.043 0.541 0.208
0.124 0.626 0.626
0.208 0.708 0.043
0.292 0.792 0.459
0.374 0.876 0.876
0.459 0.957 0.292
0.541 0.043 0.708
0.626 0.124 0.124
0.708 0.208 0.541
0.792 0.292 0.957
0.876 0.374 0.374
0.957 0.459 0.792
```

Peak list (12 most intense, 10 to 80 degrees two-theta, by angle)
30.4 deg, I = 100
43.2 deg, I = 13
43.5 deg, I = 51
43.8 deg, I = 12
53.7 deg, I = 14
54.2 deg, I = 13
63.2 deg, I = 13
71.2 deg, I = 6
71.7 deg, I = 24
72.1 deg, I = 6
79.4 deg, I = 9
79.6 deg, I = 4

=====

# 12
For YThPt2, a crystal structure in Alexandria, relaxed with GGA-PBE gives the calculated powder XRD pattern in this record (Cu Kα (weighted mean of Kα1 and Kα2)).
Intensities are scaled so that the largest is 100.

```
YThPt2
1.0
5.839 0.000 0.000
0.000 4.450 0.000
-2.485 0.000 7.244
Y Th Pt
2 2 4
direct
0.216 0.250 0.177
0.784 0.750 0.823
0.234 0.250 0.686
0.766 0.750 0.314
0.307 0.750 0.449
0.318 0.750 0.957
0.682 0.250 0.043
0.693 0.250 0.551
```

Peak list (12 most intense, 10 to 80 degrees two-theta, by angle)
23.5 deg, I = 9
31.9 deg, I = 100
32.4 deg, I = 39
38.4 deg, I = 19
39.5 deg, I = 42
39.6 deg, I = 41
40.5 deg, I = 32
47.5 deg, I = 22
52.8 deg, I = 20
64.2 deg, I = 19
68.3 deg, I = 11
73.1 deg, I = 14

=====

# 13
For ThZn2Pt6, a crystal structure in Alexandria, relaxed with GGA-PBE gives the calculated powder XRD pattern in this record (Cu Kα (weighted mean of Kα1 and Kα2)).
Intensities are scaled so that the largest is 100.

```
ThZn2Pt6
1.0
0.000 5.668 5.668
5.668 0.000 5.668
5.668 5.668 0.000
Th Zn Pt
2 4 12
direct
0.125 0.125 0.125
0.875 0.875 0.875
0.000 0.500 0.500
0.500 0.000 0.500
0.500 0.500 0.000
0.500 0.500 0.500
0.118 0.118 0.632
0.118 0.632 0.118
0.118 0.632 0.632
0.368 0.368 0.882
0.368 0.882 0.368
0.368 0.882 0.882
0.632 0.118 0.118
0.632 0.118 0.632
0.632 0.632 0.118
0.882 0.368 0.368
0.882 0.368 0.882
0.882 0.882 0.368
```

Peak list (12 most intense, 10 to 80 degrees two-theta, by angle)
13.5 deg, I = 9
22.2 deg, I = 7
26.1 deg, I = 18
31.6 deg, I = 88
38.9 deg, I = 4
41.4 deg, I = 12
45.2 deg, I = 100
56.2 deg, I = 23
63.0 deg, I = 4
65.9 deg, I = 16
72.2 deg, I = 3
74.9 deg, I = 30